Starting from DFT lattice parameters and positions (PBE), the powder XRD pattern of Sr2YTi2O7 was simulated for Cu Kα X-rays.
Kinematic intensities with the Lorentz-polarization factor, no thermal factor.

```
Sr2YTi2O7
1.0
-12.807 2.638 2.752
12.807 -2.638 2.752
12.807 2.638 -2.752
Sr Y Ti O
4 2 4 14
direct
0.069 0.184 0.253
0.069 0.316 0.385
0.931 0.684 0.615
0.931 0.816 0.747
0.011 0.011 0.000
0.011 0.511 0.500
0.505 0.589 0.072
0.505 0.933 0.416
0.517 0.089 0.584
0.517 0.433 0.928
0.011 0.202 0.690
0.011 0.315 0.805
0.011 0.707 0.196
0.011 0.821 0.309
0.020 0.004 0.515
0.489 0.504 0.485
0.495 0.661 0.129
0.495 0.866 0.333
0.511 0.207 0.195
0.511 0.815 0.804
0.512 0.321 0.310
0.512 0.702 0.691
0.533 0.161 0.667
0.533 0.366 0.871
```

Peak list (12 most intense, 15 to 90 degrees two-theta, in order of falling intensity)
two_theta, d_spacing, I (rel.)
31.48, 2.842, 100.0
27.24, 3.273, 37.0
47.76, 1.904, 30.0
32.53, 2.752, 27.1
42.53, 2.125, 19.2
23.36, 3.809, 18.4
17.16, 5.167, 18.2
57.38, 1.606, 17.3
38.93, 2.313, 15.6
33.99, 2.638, 15.5
27.86, 3.202, 14.6
37.99, 2.368, 12.8